# Tb2Ni9Hg
Computed powder XRD pattern, λ = 1.5418 Å (Cu Kα). Input: a DFT-relaxed cell (GGA-PBE, Alexandria).

Structure:
```
data_Tb2Ni9Hg
_symmetry_space_group_name_H-M 'R -3 m'
_symmetry_Int_Tables_number 166
_symmetry_space_group_name_Hall '-R 3 2"'
_cell_length_a 4.9505
_cell_length_b 4.9505
_cell_length_c 24.1522
_cell_angle_alpha 90.00
_cell_angle_beta 90.00
_cell_angle_gamma 120.00
loop_
_atom_site_label
_atom_site_fract_x
_atom_site_fract_y
_atom_site_fract_z
Tb1 0.0000 0.0000 0.1352
Ni1 0.0000 0.0000 0.3329
Ni2 0.0000 0.0000 0.5000
Ni3 0.0011 0.5005 0.9178
Hg1 0.0000 0.0000 0.0000
```

Main lines, low angle first (2θ = 10–80°):
index, 2theta, I (rel.)
1 0 1, 21.0, 17
1 0 7, 33.3, 56
1 1 0, 36.3, 56
0 1 8, 36.4, 49
0 2 1, 42.3, 42
1 1 6, 42.9, 100
3 0 0, 65.3, 28
1 1 15, 69.7, 16
3 0 6, 69.8, 19
2 2 0, 77.1, 21

# Tb5Ni2Hg
Computed powder XRD pattern, λ = 1.5418 Å (Cu Kα). Input: a DFT-relaxed cell (GGA-PBE, Alexandria).

Structure:
```
data_Tb5Ni2Hg
_symmetry_space_group_name_H-M 'I 4/m c m'
_symmetry_Int_Tables_number 140
_symmetry_space_group_name_Hall '-I 4 2c'
_cell_length_a 7.733
_cell_length_b 7.733
_cell_length_c 13.143
_cell_angle_alpha 90.00
_cell_angle_beta 90.00
_cell_angle_gamma 90.00
loop_
_atom_site_label
_atom_site_fract_x
_atom_site_fract_y
_atom_site_fract_z
Tb1 0.000 0.000 0.000
Tb2 0.160 0.340 0.136
Ni1 0.126 0.374 0.500
Hg1 0.000 0.000 0.250
```

Main lines, low angle first (2θ = 10–80°):
index, 2theta, I (rel.)
2 1 1, 26.7, 35
1 1 4, 31.8, 49
2 2 0, 32.8, 23
2 1 3, 33.0, 100
2 0 4, 35.9, 63
3 1 0, 36.8, 88
2 1 5, 43.2, 18
4 0 4, 55.1, 18
3 3 4, 57.9, 33
3 1 8, 68.8, 39

# VNiHgTe3
Computed powder XRD pattern, λ = 1.5418 Å (Cu Kα). Input: a DFT-relaxed cell (GGA-PBE, Alexandria).

Structure:
```
data_VNiHgTe3
_symmetry_space_group_name_H-M 'P 1 21/m 1'
_symmetry_Int_Tables_number 11
_cell_length_a 9.578
_cell_length_b 3.611
_cell_length_c 10.127
_cell_angle_alpha 90.00
_cell_angle_beta 115.30
_cell_angle_gamma 90.00
loop_
_symmetry_equiv_pos_as_xyz
'x,y,z'
'-x,-y,-z'
'-x,y+1/2,-z'
'x,-y+1/2,z'
loop_
_atom_site_label
_atom_site_fract_x
_atom_site_fract_y
_atom_site_fract_z
V1 0.035 0.250 0.315
Ni1 0.023 0.750 0.106
Hg1 0.483 0.750 0.770
Te1 0.144 0.250 0.618
Te2 0.180 0.750 0.955
Te3 0.253 0.750 0.349
```

Main lines, low angle first (2θ = 10–80°):
index, 2theta, I (rel.)
1 0 2, 25.6, 27
2 0 -3, 27.6, 44
1 1 1, 30.0, 45
2 1 -1, 31.0, 100
0 1 2, 31.6, 21
3 1 -2, 38.2, 21
0 1 3, 38.6, 17
2 1 2, 42.5, 19
0 2 0, 50.6, 20
4 1 -4, 50.7, 21

# Th4NiHg
Computed powder XRD pattern, λ = 1.5418 Å (Cu Kα). Input: a DFT-relaxed cell (GGA-PBE, Alexandria).

Structure:
```
data_Th4NiHg
_symmetry_space_group_name_H-M 'P 4/m c c'
_symmetry_Int_Tables_number 124
_symmetry_space_group_name_Hall '-P 4 2c'
_cell_length_a 7.441
_cell_length_b 7.441
_cell_length_c 5.900
_cell_angle_alpha 90.00
_cell_angle_beta 90.00
_cell_angle_gamma 90.00
loop_
_atom_site_label
_atom_site_fract_x
_atom_site_fract_y
_atom_site_fract_z
Th1 0.145 0.325 0.000
Ni1 0.000 0.000 0.250
Hg1 0.500 0.500 0.250
```

Main lines, low angle first (2θ = 10–80°):
index, 2theta, I (rel.)
0 0 2, 30.3, 11
2 1 1, 30.8, 100
1 1 2, 34.9, 21
3 1 0, 38.2, 33
2 0 2, 39.0, 25
4 1 1, 53.1, 14
2 1 3, 54.2, 25
4 0 2, 58.7, 12
3 3 2, 61.5, 20
5 2 1, 69.9, 10

# Th4Ni2Hg5
Computed powder XRD pattern, λ = 1.5418 Å (Cu Kα). Input: a DFT-relaxed cell (GGA-PBE, Alexandria).

Structure:
```
data_Th4Ni2Hg5
_symmetry_space_group_name_H-M 'P 1 2/m 1'
_symmetry_Int_Tables_number 10
_cell_length_a 7.787
_cell_length_b 3.762
_cell_length_c 9.490
_cell_angle_alpha 90.00
_cell_angle_beta 94.03
_cell_angle_gamma 90.00
loop_
_symmetry_equiv_pos_as_xyz
'x,y,z'
'-x,-y,-z'
'-x,y,-z'
'x,-y,z'
loop_
_atom_site_label
_atom_site_fract_x
_atom_site_fract_y
_atom_site_fract_z
Th1 0.187 0.000 0.345
Th2 0.216 0.000 0.933
Ni1 0.071 0.500 0.130
Hg1 0.155 0.500 0.639
Hg2 0.451 0.500 0.166
Hg3 0.500 0.500 0.500
```

Main lines, low angle first (2θ = 10–80°):
index, 2theta, I (rel.)
1 0 3, 31.3, 65
1 1 -2, 32.0, 89
1 1 2, 33.0, 100
2 1 0, 33.2, 88
3 0 0, 34.6, 62
2 1 1, 35.0, 45
2 0 -3, 35.4, 62
0 1 3, 37.2, 40
2 1 -2, 37.5, 38
0 2 0, 48.4, 46

# Tm4Ni2Hg
Computed powder XRD pattern, λ = 1.5418 Å (Cu Kα). Input: a DFT-relaxed cell (GGA-PBE, Alexandria).

Structure:
```
data_Tm4Ni2Hg
_symmetry_space_group_name_H-M 'C 1 c 1'
_symmetry_Int_Tables_number 9
_cell_length_a 8.283
_cell_length_b 14.525
_cell_length_c 6.703
_cell_angle_alpha 90.00
_cell_angle_beta 127.88
_cell_angle_gamma 90.00
loop_
_symmetry_equiv_pos_as_xyz
'x,y,z'
'x,-y,z+1/2'
'x+1/2,y+1/2,z'
'x+1/2,-y+1/2,z+1/2'
loop_
_atom_site_label
_atom_site_fract_x
_atom_site_fract_y
_atom_site_fract_z
Tm1 0.000 0.029 0.000
Tm2 0.023 0.460 0.864
Tm3 0.070 0.255 0.158
Tm4 0.257 0.176 0.831
Ni1 0.267 0.090 0.472
Ni2 0.363 0.333 0.152
Hg1 0.253 0.368 0.667
```

Main lines, low angle first (2θ = 10–80°):
index, 2theta, I (rel.)
1 1 1, 28.1, 32
0 4 1, 29.8, 25
2 2 0, 30.0, 23
2 2 -2, 30.1, 28
1 3 -2, 33.2, 100
1 5 -1, 33.8, 76
3 1 -1, 34.1, 98
0 2 2, 36.1, 28
2 4 0, 37.0, 73
2 2 -3, 42.5, 30